Structure and theoretical powder XRD pattern of K4Pu3CrO12 (a cell relaxed with GGA+U; Cu Kα).
No peak broadening, texture or thermal motion is included.

Main lines, low angle first (2θ from 10° to 90°):
| 2θ/deg | d_spacing | intensity |
| --- | --- | --- |
| 14.96 | 5.924 | 22.5 |
| 21.21 | 4.189 | 70.3 |
| 30.17 | 2.962 | 100.0 |
| 43.20 | 2.094 | 31.7 |
| 48.60 | 1.873 | 33.1 |
| 53.59 | 1.710 | 40.8 |
| 62.74 | 1.481 | 19.6 |
| 87.04 | 1.120 | 21.7 |

Crystal structure
```
data_K4Pu3CrO12
_chemical_formula_sum 'K4 Pu3 Cr1 O12'
_space_group_name_H-M_alt 'P 1'
_space_group_IT_number 1
_space_group_name_Hall 'P 1'
_cell_length_a 7.255
_cell_length_b 7.255
_cell_length_c 7.255
_cell_angle_alpha 109.47
_cell_angle_beta 109.47
_cell_angle_gamma 109.47
loop_
_atom_site_label
_atom_site_fract_x
_atom_site_fract_y
_atom_site_fract_z
K1 0.000 0.000 0.500
K2 0.000 0.500 0.000
K3 0.500 0.000 0.000
K4 0.500 0.500 0.500
Pu1 0.000 0.500 0.500
Pu2 0.500 0.000 0.500
Pu3 0.500 0.500 0.000
Cr1 0.000 0.000 0.000
O1 0.000 0.254 0.254
O2 0.000 0.746 0.746
O3 0.250 0.500 0.750
O4 0.250 0.750 0.500
O5 0.254 0.000 0.254
O6 0.254 0.254 0.000
O7 0.500 0.250 0.750
O8 0.500 0.750 0.250
O9 0.746 0.000 0.746
O10 0.746 0.746 0.000
O11 0.750 0.250 0.500
O12 0.750 0.500 0.250
```